CaHoMn2O6: simulated X-ray diffraction stick pattern (CuKα), based on a crystal structure in Alexandria, relaxed with PBE+U.
No peak broadening, texture or thermal motion is included.

Structure:
```
data_CaHoMn2O6
_symmetry_space_group_name_H-M 'P 1'
_symmetry_Int_Tables_number 1
_cell_length_a 7.554
_cell_length_b 5.555
_cell_length_c 5.340
_cell_angle_alpha 90.00
_cell_angle_beta 90.00
_cell_angle_gamma 90.00
loop_
_symmetry_equiv_pos_as_xyz
'x,y,z'
loop_
_atom_site_label
_atom_site_type_symbol
_atom_site_fract_x
_atom_site_fract_y
_atom_site_fract_z
_atom_site_occupancy
Ca1 Ca 0.000 0.196 0.000 1
Ca2 Ca 0.500 0.804 0.500 1
Ho1 Ho 0.000 0.684 0.530 1
Ho2 Ho 0.500 0.316 0.030 1
Mn1 Mn 0.250 0.246 0.512 1
Mn2 Mn 0.250 0.754 0.012 1
Mn3 Mn 0.750 0.246 0.512 1
Mn4 Mn 0.750 0.754 0.012 1
O1 O 0.000 0.284 0.425 1
O2 O 0.000 0.777 0.117 1
O3 O 0.199 0.946 0.707 1
O4 O 0.202 0.460 0.803 1
O5 O 0.298 0.540 0.303 1
O6 O 0.301 0.054 0.207 1
O7 O 0.500 0.223 0.617 1
O8 O 0.500 0.716 0.925 1
O9 O 0.699 0.054 0.207 1
O10 O 0.702 0.540 0.303 1
O11 O 0.798 0.460 0.803 1
O12 O 0.801 0.946 0.707 1
```

Peak list (10 most intense, 2θ = 10–90°, in order of rising 2θ)
- hkl 1 1 0, 19.84°, 4.475 Å, I = 29
- hkl 1 0 1, 20.37°, 4.360 Å, I = 35
- hkl 1 1 1, 25.98°, 3.430 Å, I = 16
- hkl 0 2 0, 32.23°, 2.778 Å, I = 20
- hkl 2 1 1, 33.23°, 2.696 Å, I = 100
- hkl 0 0 2, 33.57°, 2.670 Å, I = 25
- hkl 1 1 2, 39.29°, 2.293 Å, I = 19
- hkl 0 2 2, 47.22°, 1.925 Å, I = 23
- hkl 3 2 0, 48.82°, 1.865 Å, I = 16
- hkl 2 1 3, 59.81°, 1.546 Å, I = 23